Entry 1:
Simulated PXRD pattern
Compound: MgCoWS4
Radiation: Cu Kα, 1.54184 Å
Structure: a GGA-PBE-relaxed structure

Most intense lines, 5° ≤ 2θ ≤ 70°, in order of rising 2θ:
15.0 deg, I 100; 17.2 deg, I 16; 28.8 deg, I 25; 30.3 deg, I 29; 30.3 deg, I 29; 34.8 deg, I 25; 36.3 deg, I 46; 47.1 deg, I 18; 51.1 deg, I 20; 51.2 deg, I 20

Cell lengths 7.142, 7.142, 7.205 Å; angles 120.12, 120.12, 56.93 degrees
Sites, in units of the cell vectors:
Mg  0.126  0.126  0.376
Mg  0.874  0.874  0.624
Co  0.500  0.500  0.000
Co  0.500  0.500  0.500
W  0.000  0.500  0.000
W  0.500  0.000  0.000
S  0.270  0.703  0.236
S  0.273  0.273  0.263
S  0.273  0.273  0.784
S  0.297  0.730  0.764
S  0.703  0.270  0.236
S  0.727  0.727  0.216
S  0.727  0.727  0.737
S  0.730  0.297  0.764



Entry 2:
Simulated PXRD pattern
Compound: MgTi4Zn2O10
Radiation: Cu Kα, 1.54184 Å
Structure: a GGA-PBE-relaxed structure

Most intense lines, 5° ≤ 2θ ≤ 70°, in order of rising 2θ:
7.0 deg, I 64; 16.5 deg, I 47; 21.0 deg, I 54; 24.7 deg, I 84; 28.1 deg, I 82; 31.7 deg, I 100; 33.1 deg, I 92; 34.2 deg, I 34; 55.5 deg, I 41; 58.0 deg, I 46

Cell lengths 5.436, 3.312, 12.854 Å; angles 90.00, 98.88, 90.00 degrees
Sites, in units of the cell vectors:
Mg  0.000  0.000  0.000
Ti  0.412  0.000  0.442
Ti  0.462  0.000  0.166
Ti  0.492  0.500  0.923
Ti  0.595  0.500  0.646
Zn  0.153  0.000  0.711
Zn  0.857  0.500  0.372
O  0.076  0.000  0.396
O  0.139  0.000  0.148
O  0.327  0.000  0.942
O  0.405  0.000  0.605
O  0.433  0.500  0.774
O  0.553  0.500  0.108
O  0.582  0.000  0.309
O  0.605  0.500  0.480
O  0.832  0.500  0.945
O  0.935  0.500  0.691



Entry 3:
Simulated PXRD pattern
Compound: CuBr2
Radiation: Cu Kα, 1.54184 Å
Structure: a GGA-PBE-relaxed structure

Most intense lines, 5° ≤ 2θ ≤ 70°, in order of rising 2θ:
14.2 deg, I 39; 23.6 deg, I 100; 28.2 deg, I 21; 36.6 deg, I 62; 43.8 deg, I 38; 44.2 deg, I 38; 48.3 deg, I 14; 58.2 deg, I 16; 61.7 deg, I 13; 62.4 deg, I 12

Cell lengths 8.337, 3.493, 6.912 Å; angles 90.00, 115.29, 90.00 degrees
Sites, in units of the cell vectors:
Cu  0.000  0.000  0.000
Cu  0.500  0.500  0.000
Br  0.006  0.500  0.761
Br  0.494  0.000  0.239
Br  0.506  0.000  0.761
Br  0.994  0.500  0.239



Entry 4:
Simulated PXRD pattern
Compound: Rb2SnO12
Radiation: Cu Kα, 1.54184 Å
Structure: a GGA-PBE-relaxed structure

Most intense lines, 5° ≤ 2θ ≤ 70°, in order of rising 2θ:
12.8 deg, I 23; 16.7 deg, I 66; 22.3 deg, I 54; 28.0 deg, I 100; 30.9 deg, I 23; 39.1 deg, I 31; 40.9 deg, I 46; 42.8 deg, I 33; 48.8 deg, I 23; 64.2 deg, I 20

Cell lengths 7.978, 7.978, 10.600 Å; angles 90.00, 90.00, 120.00 degrees
Sites, in units of the cell vectors:
Rb  0.333  0.667  0.470
Rb  0.333  0.667  0.970
Rb  0.667  0.333  0.030
Rb  0.667  0.333  0.530
Sn  0.000  0.000  0.000
Sn  0.000  0.000  0.500
O  0.025  0.349  0.124
O  0.025  0.675  0.624
O  0.133  0.270  0.614
O  0.133  0.864  0.114
O  0.136  0.270  0.114
O  0.136  0.867  0.614
O  0.270  0.133  0.886
O  0.270  0.136  0.386
O  0.325  0.349  0.624
O  0.325  0.975  0.124
O  0.349  0.025  0.376
O  0.349  0.325  0.876
O  0.651  0.675  0.124
O  0.651  0.975  0.624
O  0.675  0.025  0.876
O  0.675  0.651  0.376
O  0.730  0.864  0.614
O  0.730  0.867  0.114
O  0.864  0.133  0.386
O  0.864  0.730  0.886
O  0.867  0.136  0.886
O  0.867  0.730  0.386
O  0.975  0.325  0.376
O  0.975  0.651  0.876